Structure and computed powder diffractogram of Sr2ThP2N6 (a GGA-PBE-relaxed structure; Cu Kα).
Kinematic intensities with the Lorentz-polarization factor, no thermal factor.

Top 10 peaks for 2θ from 5° to 70°, by intensity:
2theta  I (rel.)
30.55  100.0
18.34  68.8
26.59  65.8
30.91  65.6
30.74  35.2
43.92  27.8
54.74  25.7
41.12  24.1
20.27  19.9
44.08  18.7

Structural model:
Lattice parameters (Å, degrees): 5.787 5.787 6.867 114.83 114.83 60.34
Fractional positions:
Sr 0.202 0.202 0.163
Sr 0.798 0.798 0.837
Th 0.000 0.000 0.500
P 0.448 0.448 0.746
P 0.552 0.552 0.254
N 0.224 0.692 0.206
N 0.269 0.269 0.638
N 0.308 0.776 0.794
N 0.692 0.224 0.206
N 0.731 0.731 0.362
N 0.776 0.308 0.794